Computed powder diffraction line list of Zn3Fe2Cu10Sn5Se20 for copper Kα, from a structure optimized by DFT (PBE).
No peak broadening, texture or thermal motion is included.

abc: 7.0441 7.0441 25.8021
angles: 90.32 90.32 48.35
Atoms (fractional coordinates):
Zn1 0.0001 0.9999 0.0000
Zn2 0.2000 0.2000 0.8000
Zn3 0.8000 0.8000 0.2000
Fe1 0.4005 0.3995 0.6000
Fe2 0.6005 0.5995 0.4000
Cu1 0.0988 0.1009 0.6499
Cu2 0.1002 0.0998 0.1500
Cu3 0.3002 0.2999 0.4500
Cu4 0.3002 0.2999 0.9500
Cu5 0.5010 0.4993 0.2501
Cu6 0.5007 0.4990 0.7499
Cu7 0.7001 0.6998 0.0500
Cu8 0.7001 0.6998 0.5500
Cu9 0.8991 0.9012 0.3501
Cu10 0.9002 0.8998 0.8500
Sn1 0.0008 0.9992 0.5000
Sn2 0.1999 0.1996 0.3003
Sn3 0.3999 0.4002 0.1001
Sn4 0.5998 0.6001 0.8999
Sn5 0.8004 0.8001 0.6997
Se1 0.0146 0.4791 0.6198
Se2 0.0991 0.6236 0.2749
Se3 0.1184 0.5948 0.7795
Se4 0.1798 0.6992 0.9249
Se5 0.2157 0.6780 0.4196
Se6 0.3008 0.8202 0.0751
Se7 0.3220 0.7843 0.5804
Se8 0.3764 0.9009 0.7251
Se9 0.4052 0.8816 0.2205
Se10 0.5009 0.0202 0.8752
Se11 0.5209 0.9854 0.3802
Se12 0.5707 0.1076 0.5269
Se13 0.6035 0.0833 0.0209
Se14 0.6926 0.2271 0.6731
Se15 0.7171 0.1962 0.1793
Se16 0.7729 0.3074 0.3269
Se17 0.8038 0.2829 0.8207
Se18 0.8924 0.4293 0.4731
Se19 0.9167 0.3965 0.9791
Se20 0.9798 0.4991 0.1248

The 6 most intense peaks (2θ from 15° to 90°), low angle first:
- 2θ 26.8, I = 100
- 2θ 44.4, I = 25
- 2θ 44.5, I = 48
- 2θ 52.6, I = 29
- 2θ 52.9, I = 14
- 2θ 81.8, I = 11